Record 1
Diffraction record for KUCrSe4. The X-ray diffraction stick pattern is theoretical, not measured: it uses a crystal structure in Alexandria, relaxed with PBE and Cu Kα X-rays.
No peak broadening, texture or thermal motion is included.

Structure:
```
KUCrSe4
1.0
-4.035 4.600 5.303
4.035 -4.600 5.303
4.035 4.600 -5.303
K U Cr Se
2 2 2 8
Direct
0.436 0.186 0.250
0.564 0.814 0.750
0.000 0.500 0.500
0.500 0.500 0.000
0.000 0.000 0.500
0.000 0.500 0.000
0.169 0.241 0.928
0.187 0.759 0.428
0.247 0.281 0.534
0.247 0.712 0.966
0.753 0.288 0.034
0.753 0.719 0.466
0.813 0.241 0.572
0.831 0.759 0.072
```

Largest 8 diffraction maxima, low angle first, 2θ = 10–90°:
13.8 deg, I 100.0
23.8 deg, I 43.0
27.5 deg, I 39.5
29.4 deg, I 73.3
33.8 deg, I 51.3
34.1 deg, I 26.4
39.7 deg, I 31.2
45.4 deg, I 51.9

Record 2
Diffraction record for K3Tm3CrTe8. The X-ray diffraction stick pattern is theoretical, not measured: it uses a crystal structure in Alexandria, relaxed with PBE and Cu Kα X-rays.
No peak broadening, texture or thermal motion is included.

Structure:
```
K3Tm3CrTe8
1.0
4.266 2.463 8.580
-4.266 2.463 8.580
0.000 -4.926 8.580
K Tm Cr Te
3 3 1 8
Direct
0.000 0.500 0.500
0.500 0.000 0.500
0.500 0.500 0.000
0.000 0.000 0.500
0.000 0.500 0.000
0.500 0.000 0.000
0.500 0.500 0.500
0.236 0.236 0.236
0.254 0.720 0.720
0.280 0.280 0.746
0.280 0.746 0.280
0.720 0.254 0.720
0.720 0.720 0.254
0.746 0.280 0.280
0.764 0.764 0.764
```

Largest 8 diffraction maxima, low angle first, 2θ = 10–90°:
10.3 deg, I 74.3
27.8 deg, I 100.0
34.4 deg, I 28.9
37.0 deg, I 33.5
42.4 deg, I 35.6
43.7 deg, I 13.3
45.9 deg, I 18.8
51.5 deg, I 16.8

Record 3
Diffraction record for K2VCr2Te6. The X-ray diffraction stick pattern is theoretical, not measured: it uses a crystal structure in Alexandria, relaxed with PBE and Cu Kα X-rays.
No peak broadening, texture or thermal motion is included.

Structure:
```
K2VCr2Te6
1.0
3.439 -5.951 0.000
3.439 5.951 0.000
-2.276 0.000 8.441
K V Cr Te
2 1 2 6
Direct
0.166 0.834 0.000
0.834 0.166 0.000
0.000 0.000 0.500
0.332 0.668 0.500
0.668 0.332 0.500
0.063 0.395 0.681
0.277 0.277 0.319
0.395 0.063 0.681
0.605 0.937 0.319
0.723 0.723 0.681
0.937 0.605 0.319
```

Largest 8 diffraction maxima, low angle first, 2θ = 10–90°:
10.5 deg, I 75.5
26.9 deg, I 37.3
29.6 deg, I 100.0
31.5 deg, I 19.2
36.0 deg, I 39.0
38.7 deg, I 18.7
45.7 deg, I 25.3
47.5 deg, I 23.8

Record 4
Diffraction record for KCrW2. The X-ray diffraction stick pattern is theoretical, not measured: it uses a crystal structure in Alexandria, relaxed with PBE and Cu Kα X-rays.
No peak broadening, texture or thermal motion is included.

Structure:
```
KCrW2
1.0
1.536 -2.282 0.000
1.536 2.282 0.000
0.000 0.000 10.359
K Cr W
1 1 2
Direct
0.000 0.000 0.000
0.000 0.000 0.500
0.500 0.500 0.305
0.500 0.500 0.695
```

Largest 8 diffraction maxima, low angle first, 2θ = 10–90°:
17.1 deg, I 33.6
25.8 deg, I 35.0
35.2 deg, I 25.5
39.4 deg, I 100.0
43.7 deg, I 13.6
44.2 deg, I 40.0
57.3 deg, I 21.3
60.3 deg, I 18.2

Record 5
Diffraction record for La2Cr. The X-ray diffraction stick pattern is theoretical, not measured: it uses a crystal structure in Alexandria, relaxed with PBE and Cu Kα X-rays.
No peak broadening, texture or thermal motion is included.

Structure:
```
La2Cr
1.0
6.211 -1.875 0.000
6.211 1.875 0.000
-3.072 0.000 7.607
La Cr
4 2
Direct
0.007 0.007 0.206
0.319 0.319 0.366
0.681 0.681 0.634
0.993 0.993 0.794
0.316 0.316 0.939
0.684 0.684 0.061
```

Largest 8 diffraction maxima, low angle first, 2θ = 10–90°:
26.3 deg, I 32.9
31.1 deg, I 51.6
32.4 deg, I 84.2
32.7 deg, I 37.9
32.8 deg, I 24.7
33.4 deg, I 100.0
46.3 deg, I 22.5
59.8 deg, I 21.8

Record 6
Diffraction record for La3Cr. The X-ray diffraction stick pattern is theoretical, not measured: it uses a crystal structure in Alexandria, relaxed with PBE and Cu Kα X-rays.
No peak broadening, texture or thermal motion is included.

Structure:
```
La3Cr
1.0
6.320 0.000 0.000
0.000 6.320 0.000
0.000 0.000 6.320
La Cr
6 2
Direct
0.000 0.250 0.500
0.000 0.750 0.500
0.250 0.500 0.000
0.500 0.000 0.250
0.500 0.000 0.750
0.750 0.500 0.000
0.000 0.000 0.000
0.500 0.500 0.500
```

Largest 8 diffraction maxima, low angle first, 2θ = 10–90°:
28.2 deg, I 16.5
31.7 deg, I 100.0
34.8 deg, I 37.9
50.0 deg, I 15.9
52.2 deg, I 24.4
54.3 deg, I 20.3
68.0 deg, I 21.9
82.1 deg, I 19.5